No. 1
Simulated X-ray powder pattern of CaLa2Si3Pt4 for copper Kα, from a cell relaxed with PBE.

Crystal structure
```
data_CaLa2Si3Pt4
_cell_length_a 4.334
_cell_length_b 4.334
_cell_length_c 10.707
_cell_angle_alpha 90.00
_cell_angle_beta 90.00
_cell_angle_gamma 90.00
_symmetry_space_group_name_H-M 'P -4 m 2'
_symmetry_Int_Tables_number 115
loop_
_symmetry_equiv_pos_as_xyz
'x,y,z'
'y,-x,-z'
'-x,-y,z'
'-y,x,-z'
'-x,y,z'
'-y,-x,-z'
'x,-y,z'
'y,x,-z'
loop_
_atom_site_label
_atom_site_fract_x
_atom_site_fract_y
_atom_site_fract_z
Ca1 0.000 0.000 0.000
La1 0.000 0.500 0.733
Si1 0.000 0.500 0.384
Si2 0.500 0.500 0.000
Pt1 0.000 0.000 0.500
Pt2 0.000 0.500 0.160
Pt3 0.500 0.500 0.500
```

Main lines, in order of rising 2θ (10 to 80 degrees two-theta):
hkl 0 0 3, d 3.569, 24.95 deg, rel. 22; hkl 1 0 2, d 3.368, 26.46 deg, rel. 29; hkl 1 1 1, d 2.946, 30.34 deg, rel. 34; hkl 1 1 2, d 2.660, 33.70 deg, rel. 100; hkl 2 0 0, d 2.167, 41.68 deg, rel. 49; hkl 3 1 2, d 1.328, 70.99 deg, rel. 23

No. 2
Simulated X-ray powder pattern of RbCa2La for copper Kα, from a cell relaxed with PBE.

Crystal structure
```
data_RbCa2La
_cell_length_a 3.929
_cell_length_b 3.929
_cell_length_c 12.506
_cell_angle_alpha 90.00
_cell_angle_beta 90.00
_cell_angle_gamma 90.00
_symmetry_space_group_name_H-M 'P 4/m m m'
_symmetry_Int_Tables_number 123
_symmetry_space_group_name_Hall '-P 4 2'
loop_
_atom_site_label
_atom_site_fract_x
_atom_site_fract_y
_atom_site_fract_z
Rb1 0.000 0.000 0.000
Ca1 0.500 0.500 0.289
La1 0.000 0.000 0.500
```

Main lines, in order of rising 2θ (10 to 80 degrees two-theta):
hkl 0 0 2, d 6.253, 14.16 deg, rel. 26; hkl 1 0 2, d 3.327, 26.80 deg, rel. 100; hkl 0 0 4, d 3.126, 28.55 deg, rel. 17; hkl 1 1 0, d 2.778, 32.22 deg, rel. 33; hkl 1 1 4, d 2.077, 43.58 deg, rel. 21; hkl 2 1 2, d 1.691, 54.23 deg, rel. 27

No. 3
Simulated X-ray powder pattern of Ca2La2Rh3 for copper Kα, from a cell relaxed with PBE.

Crystal structure
```
data_Ca2La2Rh3
_cell_length_a 8.601
_cell_length_b 4.956
_cell_length_c 8.604
_cell_angle_alpha 90.00
_cell_angle_beta 109.44
_cell_angle_gamma 90.00
_symmetry_space_group_name_H-M 'C 1 2/m 1'
_symmetry_Int_Tables_number 12
loop_
_symmetry_equiv_pos_as_xyz
'x,y,z'
'-x,-y,-z'
'-x,y,-z'
'x,-y,z'
'x+1/2,y+1/2,z'
'-x+1/2,-y+1/2,-z'
'-x+1/2,y+1/2,-z'
'x+1/2,-y+1/2,z'
loop_
_atom_site_label
_atom_site_fract_x
_atom_site_fract_y
_atom_site_fract_z
Ca1 0.128 0.000 0.385
La1 0.121 0.500 0.862
Rh1 0.000 0.000 0.000
Rh2 0.243 0.500 0.231
```

Main lines, in order of rising 2θ (10 to 80 degrees two-theta):
hkl 0 0 1, d 8.114, 10.90 deg, rel. 38; hkl 1 1 -2, d 3.221, 27.69 deg, rel. 12; hkl 0 2 0, d 2.482, 36.20 deg, rel. 100; hkl 3 1 0, d 2.372, 37.93 deg, rel. 12; hkl 4 0 -4, d 1.755, 52.12 deg, rel. 17; hkl 6 0 -2, d 1.434, 65.07 deg, rel. 21

No. 4
Simulated X-ray powder pattern of Ca2LaRh9 for copper Kα, from a cell relaxed with PBE.

Crystal structure
```
data_Ca2LaRh9
_cell_length_a 5.3250
_cell_length_b 5.3250
_cell_length_c 26.3028
_cell_angle_alpha 90.00
_cell_angle_beta 90.00
_cell_angle_gamma 120.00
_symmetry_space_group_name_H-M 'R -3 m'
_symmetry_Int_Tables_number 166
_symmetry_space_group_name_Hall '-R 3 2"'
loop_
_atom_site_label
_atom_site_fract_x
_atom_site_fract_y
_atom_site_fract_z
Ca1 0.0000 0.0000 0.1410
La1 0.0000 0.0000 0.0000
Rh1 0.0000 0.0000 0.3330
Rh2 0.0000 0.0000 0.5000
Rh3 0.0012 0.5006 0.0822
```

Main lines, in order of rising 2θ (10 to 80 degrees two-theta):
hkl 0 0 3, d 8.768, 10.09 deg, rel. 23; hkl 0 2 1, d 2.297, 39.22 deg, rel. 24; hkl 1 1 6, d 2.275, 39.62 deg, rel. 100; hkl 0 0 12, d 2.192, 41.18 deg, rel. 27; hkl 2 0 5, d 2.112, 42.82 deg, rel. 27; hkl 0 2 7, d 1.966, 46.17 deg, rel. 23

No. 5
Simulated X-ray powder pattern of CaLa4Ru for copper Kα, from a cell relaxed with PBE.

Crystal structure
```
data_CaLa4Ru
_cell_length_a 6.276
_cell_length_b 7.320
_cell_length_c 9.414
_cell_angle_alpha 90.00
_cell_angle_beta 102.83
_cell_angle_gamma 90.00
_symmetry_space_group_name_H-M 'P 1 21/m 1'
_symmetry_Int_Tables_number 11
loop_
_symmetry_equiv_pos_as_xyz
'x,y,z'
'-x,-y,-z'
'-x,y+1/2,-z'
'x,-y+1/2,z'
loop_
_atom_site_label
_atom_site_fract_x
_atom_site_fract_y
_atom_site_fract_z
Ca1 0.209 0.250 0.442
La1 0.120 0.250 0.055
La2 0.217 0.750 0.319
La3 0.353 0.511 0.800
Ru1 0.333 0.750 0.049
```

Main lines, in order of rising 2θ (10 to 80 degrees two-theta):
hkl 1 2 -1, d 3.081, 28.98 deg, rel. 100; hkl 1 0 -3, d 3.018, 29.60 deg, rel. 44; hkl 1 2 1, d 2.873, 31.13 deg, rel. 44; hkl 0 2 2, d 2.861, 31.27 deg, rel. 54; hkl 0 2 3, d 2.347, 38.34 deg, rel. 48; hkl 3 2 -2, d 1.782, 51.28 deg, rel. 34

No. 6
Simulated X-ray powder pattern of CaLa4Ru2 for copper Kα, from a cell relaxed with PBE.

Crystal structure
```
data_CaLa4Ru2
_cell_length_a 7.082
_cell_length_b 7.598
_cell_length_c 8.701
_cell_angle_alpha 84.17
_cell_angle_beta 71.26
_cell_angle_gamma 87.43
_symmetry_space_group_name_H-M 'P 1'
_symmetry_Int_Tables_number 1
loop_
_symmetry_equiv_pos_as_xyz
'x,y,z'
loop_
_atom_site_label
_atom_site_fract_x
_atom_site_fract_y
_atom_site_fract_z
Ca1 0.000 0.000 0.000
Ca2 0.474 0.090 0.044
La1 0.116 0.217 0.425
La2 0.148 0.694 0.338
La3 0.379 0.647 0.843
La4 0.464 0.238 0.641
La5 0.600 0.856 0.383
La6 0.695 0.452 0.222
La7 0.822 0.885 0.709
La8 0.910 0.447 0.779
Ru1 0.216 0.937 0.605
Ru2 0.320 0.531 0.540
Ru3 0.644 0.727 0.046
Ru4 0.738 0.561 0.550
```

Main lines, in order of rising 2θ (10 to 80 degrees two-theta):
hkl 0 0 1, d 8.205, 10.78 deg, rel. 100; hkl 0 1 0, d 7.558, 11.71 deg, rel. 51; hkl 1 2 2, d 2.941, 30.39 deg, rel. 36; hkl -1 1 2, d 2.922, 30.59 deg, rel. 57; hkl 2 0 -1, d 2.808, 31.87 deg, rel. 56; hkl 1 1 3, d 2.782, 32.18 deg, rel. 36

No. 7
Simulated X-ray powder pattern of CaLa2SiRu for copper Kα, from a cell relaxed with PBE.

Crystal structure
```
data_CaLa2SiRu
_cell_length_a 5.564
_cell_length_b 5.564
_cell_length_c 4.810
_cell_angle_alpha 90.00
_cell_angle_beta 90.00
_cell_angle_gamma 90.00
_symmetry_space_group_name_H-M 'P 4/m m m'
_symmetry_Int_Tables_number 123
_symmetry_space_group_name_Hall '-P 4 2'
loop_
_atom_site_label
_atom_site_fract_x
_atom_site_fract_y
_atom_site_fract_z
Ca1 0.000 0.000 0.000
La1 0.000 0.500 0.500
Si1 0.500 0.500 0.000
Ru1 0.500 0.500 0.500
```

Main lines, in order of rising 2θ (10 to 80 degrees two-theta):
hkl 0 0 1, d 4.810, 18.44 deg, rel. 90; hkl 1 1 1, d 3.045, 29.33 deg, rel. 74; hkl 2 0 0, d 2.782, 32.18 deg, rel. 100; hkl 0 0 2, d 2.407, 37.36 deg, rel. 95; hkl 2 2 0, d 1.967, 46.14 deg, rel. 36; hkl 2 0 2, d 1.820, 50.13 deg, rel. 83

No. 8
Simulated X-ray powder pattern of Ca4LaS5 for copper Kα, from a cell relaxed with PBE.

Crystal structure
```
data_Ca4LaS5
_cell_length_a 4.069
_cell_length_b 4.069
_cell_length_c 28.807
_cell_angle_alpha 90.00
_cell_angle_beta 90.00
_cell_angle_gamma 90.00
_symmetry_space_group_name_H-M 'I 4/m m m'
_symmetry_Int_Tables_number 139
_symmetry_space_group_name_Hall '-I 4 2'
loop_
_atom_site_label
_atom_site_fract_x
_atom_site_fract_y
_atom_site_fract_z
Ca1 0.000 0.000 0.102
Ca2 0.000 0.000 0.299
La1 0.000 0.000 0.500
S1 0.000 0.000 0.000
S2 0.000 0.000 0.200
S3 0.000 0.000 0.398
```

Main lines, in order of rising 2θ (10 to 80 degrees two-theta):
hkl 1 0 1, d 4.029, 22.06 deg, rel. 12; hkl 1 0 5, d 3.323, 26.83 deg, rel. 16; hkl 1 1 0, d 2.878, 31.07 deg, rel. 100; hkl 2 0 0, d 2.035, 44.52 deg, rel. 68; hkl 2 0 10, d 1.662, 55.27 deg, rel. 25; hkl 3 1 0, d 1.287, 73.59 deg, rel. 29

No. 9
Simulated X-ray powder pattern of Ca2LaTlS for copper Kα, from a cell relaxed with PBE.

Crystal structure
```
data_Ca2LaTlS
_cell_length_a 5.324
_cell_length_b 5.324
_cell_length_c 5.604
_cell_angle_alpha 90.00
_cell_angle_beta 90.00
_cell_angle_gamma 90.00
_symmetry_space_group_name_H-M 'P 4/m m m'
_symmetry_Int_Tables_number 123
_symmetry_space_group_name_Hall '-P 4 2'
loop_
_atom_site_label
_atom_site_fract_x
_atom_site_fract_y
_atom_site_fract_z
Ca1 0.000 0.500 0.000
La1 0.000 0.000 0.500
Tl1 0.500 0.500 0.500
S1 0.000 0.000 0.000
```

Main lines, in order of rising 2θ (10 to 80 degrees two-theta):
hkl 0 0 1, d 5.604, 15.81 deg, rel. 29; hkl 1 1 0, d 3.765, 23.63 deg, rel. 43; hkl 1 1 1, d 3.125, 28.56 deg, rel. 100; hkl 2 0 0, d 2.662, 33.67 deg, rel. 45; hkl 2 0 2, d 1.930, 47.09 deg, rel. 34; hkl 3 1 1, d 1.612, 57.12 deg, rel. 28

No. 10
Simulated X-ray powder pattern of CaLaSc for copper Kα, from a cell relaxed with PBE.

Crystal structure
```
data_CaLaSc
_cell_length_a 3.5903
_cell_length_b 3.5903
_cell_length_c 54.9261
_cell_angle_alpha 90.00
_cell_angle_beta 90.00
_cell_angle_gamma 120.00
_symmetry_space_group_name_H-M 'R -3 m'
_symmetry_Int_Tables_number 166
_symmetry_space_group_name_Hall '-R 3 2"'
loop_
_atom_site_label
_atom_site_fract_x
_atom_site_fract_y
_atom_site_fract_z
Ca1 0.0000 0.0000 0.1958
La1 0.0000 0.0000 0.2611
Sc1 0.0000 0.0000 0.3557
```

Main lines, in order of rising 2θ (10 to 80 degrees two-theta):
hkl 0 0 15, d 3.662, 24.31 deg, rel. 29; hkl 0 1 2, d 3.090, 28.90 deg, rel. 100; hkl 1 0 4, d 3.032, 29.45 deg, rel. 30; hkl 0 1 11, d 2.639, 33.97 deg, rel. 50; hkl 1 0 13, d 2.504, 35.86 deg, rel. 56; hkl 1 1 0, d 1.795, 50.87 deg, rel. 34

No. 11
Simulated X-ray powder pattern of SrCaLaSc2 for copper Kα, from a cell relaxed with PBE.

Crystal structure
```
data_SrCaLaSc2
_cell_length_a 5.501
_cell_length_b 5.501
_cell_length_c 6.083
_cell_angle_alpha 90.00
_cell_angle_beta 90.00
_cell_angle_gamma 90.00
_symmetry_space_group_name_H-M 'P 4/m m m'
_symmetry_Int_Tables_number 123
_symmetry_space_group_name_Hall '-P 4 2'
loop_
_atom_site_label
_atom_site_fract_x
_atom_site_fract_y
_atom_site_fract_z
Sr1 0.000 0.000 0.000
Ca1 0.500 0.500 0.000
La1 0.000 0.000 0.500
Sc1 0.000 0.500 0.500
```

Main lines, in order of rising 2θ (10 to 80 degrees two-theta):
hkl 1 0 0, d 5.501, 16.11 deg, rel. 100; hkl 1 1 0, d 3.890, 22.86 deg, rel. 42; hkl 0 0 2, d 3.042, 29.37 deg, rel. 47; hkl 2 0 0, d 2.750, 32.56 deg, rel. 70; hkl 1 0 2, d 2.662, 33.67 deg, rel. 34; hkl 2 0 2, d 2.040, 44.41 deg, rel. 58

No. 12
Simulated X-ray powder pattern of CaLaSc2Tc for copper Kα, from a cell relaxed with PBE.

Crystal structure
```
data_CaLaSc2Tc
_cell_length_a 5.239
_cell_length_b 5.239
_cell_length_c 5.393
_cell_angle_alpha 90.00
_cell_angle_beta 90.00
_cell_angle_gamma 90.00
_symmetry_space_group_name_H-M 'P 4/m m m'
_symmetry_Int_Tables_number 123
_symmetry_space_group_name_Hall '-P 4 2'
loop_
_atom_site_label
_atom_site_fract_x
_atom_site_fract_y
_atom_site_fract_z
Ca1 0.000 0.000 0.000
La1 0.500 0.500 0.000
Sc1 0.000 0.500 0.500
Tc1 0.500 0.500 0.500
```

Main lines, in order of rising 2θ (10 to 80 degrees two-theta):
hkl 1 0 0, d 5.239, 16.92 deg, rel. 100; hkl 1 1 0, d 3.705, 24.02 deg, rel. 42; hkl 1 1 1, d 3.054, 29.25 deg, rel. 40; hkl 0 0 2, d 2.697, 33.22 deg, rel. 34; hkl 2 0 0, d 2.620, 34.23 deg, rel. 63; hkl 2 0 2, d 1.879, 48.44 deg, rel. 46